Starting from a cell relaxed with PBE, the powder diffraction line list of Nd5Tl2Se was calculated for Cu Kα (λ = 1.5418 Å).

abc: 12.676 9.377 8.324
angles: 90.00 90.00 90.00
Space group Pnma (No. 62)
Unique sites:
1 Nd 0.002 0.250 0.035 (multiplicity 4)
2 Nd 0.072 0.545 0.311 (multiplicity 8)
3 Nd 0.203 0.250 0.643 (multiplicity 4)
4 Nd 0.213 0.750 0.658 (multiplicity 4)
5 Tl 0.173 0.003 0.930 (multiplicity 8)
6 Se 0.013 0.250 0.432 (multiplicity 4)

Peak list (10 most intense, 10° ≤ 2θ ≤ 90°, most intense first)
(1 2 2), 2θ = 29.6°, I 100
(3 2 1), 2θ = 30.4°, I 82
(4 0 1), 2θ = 30.2°, I 69
(2 2 2), 2θ = 32.0°, I 59
(0 4 0), 2θ = 38.4°, I 37
(4 2 0), 2θ = 34.1°, I 29
(1 0 3), 2θ = 33.0°, I 20
(4 4 1), 2θ = 49.6°, I 19
(2 0 3), 2θ = 35.3°, I 17
(5 2 1), 2θ = 41.9°, I 16



Starting from a cell relaxed with PBE, the powder diffraction line list of Os4Br5 was calculated for Cu Kα (λ = 1.5418 Å).

abc: 10.670 10.670 3.535
angles: 90.00 90.00 90.00
Space group I4/mmm (No. 139)
Unique sites:
1 Os 0.000 0.378 0.000 (multiplicity 8)
2 Br 0.000 0.000 0.000 (multiplicity 2)
3 Br 0.165 0.165 0.500 (multiplicity 8)

Peak list (10 most intense, 10° ≤ 2θ ≤ 90°, most intense first)
(3 0 1), 2θ = 35.8°, I 100
(1 1 0), 2θ = 11.7°, I 88
(3 3 0), 2θ = 35.7°, I 39
(2 0 0), 2θ = 16.6°, I 30
(4 1 1), 2θ = 43.3°, I 27
(5 0 1), 2θ = 49.9°, I 25
(3 3 2), 2θ = 64.4°, I 14
(5 2 1), 2θ = 53.0°, I 13
(6 3 1), 2θ = 64.2°, I 13
(0 0 2), 2θ = 51.7°, I 11



Starting from a cell relaxed with PBE, the powder diffraction line list of AcLaCu2Si2 was calculated for Cu Kα (λ = 1.5418 Å).

abc: 4.2918 4.2918 8.4327
angles: 90.00 90.00 120.00
Space group P-3m1 (No. 164)
Unique sites:
1 Ac 0.0000 0.0000 0.0000 (multiplicity 1)
2 La 0.0000 0.0000 0.5000 (multiplicity 1)
3 Cu 0.3333 0.6667 0.7388 (multiplicity 2)
4 Si 0.3333 0.6667 0.2604 (multiplicity 2)

Peak list (10 most intense, 10° ≤ 2θ ≤ 90°, most intense first)
(0 1 2), 2θ = 32.1°, I 100
(1 1 0), 2θ = 42.1°, I 35
(1 0 0), 2θ = 23.9°, I 33
(2 0 2), 2θ = 53.9°, I 23
(1 1 4), 2θ = 61.7°, I 22
(1 2 2), 2θ = 70.7°, I 20
(0 0 4), 2θ = 42.9°, I 11
(1 0 1), 2θ = 26.2°, I 10
(1 0 4), 2θ = 49.7°, I 10
(0 1 6), 2θ = 71.8°, I 9



Starting from a cell relaxed with PBE, the powder diffraction line list of SmMg2Zn2Ga2 was calculated for Cu Kα (λ = 1.5418 Å).

abc: 4.4194 4.4194 24.8707
angles: 90.00 90.00 120.00
Space group R-3m (No. 166, hexagonal axes)
Unique sites:
1 Sm 0.0000 0.0000 0.0000 (multiplicity 3)
2 Mg 0.0000 0.0000 0.1346 (multiplicity 6)
3 Zn 0.0000 0.0000 0.4078 (multiplicity 6)
4 Ga 0.0000 0.0000 0.2553 (multiplicity 6)

Peak list (10 most intense, 10° ≤ 2θ ≤ 90°, most intense first)
(1 1 0), 2θ = 40.8°, I 100
(0 0 3), 2θ = 10.7°, I 71
(1 0 7), 2θ = 34.4°, I 68
(0 1 5), 2θ = 29.4°, I 58
(0 1 8), 2θ = 37.3°, I 57
(1 1 12), 2θ = 61.3°, I 31
(1 0 4), 2θ = 27.4°, I 26
(1 1 15), 2θ = 71.1°, I 22
(0 2 7), 2θ = 54.5°, I 18
(2 0 8), 2θ = 56.5°, I 17



Starting from a cell relaxed with PBE, the powder diffraction line list of Ho4NpN4 was calculated for Cu Kα (λ = 1.5418 Å).

abc: 5.601 5.601 10.796
angles: 90.00 90.00 90.00
Space group I-42m (No. 121)
Unique sites:
1 Ho 0.000 0.000 0.217 (multiplicity 4)
2 Ho 0.000 0.500 0.000 (multiplicity 4)
3 Np 0.000 0.000 0.500 (multiplicity 2)
4 N 0.227 0.227 0.623 (multiplicity 8)

Peak list (10 most intense, 10° ≤ 2θ ≤ 90°, most intense first)
(2 0 0), 2θ = 32.0°, I 100
(2 0 4), 2θ = 46.7°, I 69
(1 1 2), 2θ = 27.9°, I 65
(1 0 3), 2θ = 29.5°, I 62
(2 2 0), 2θ = 45.8°, I 47
(2 1 3), 2θ = 44.0°, I 45
(0 0 4), 2θ = 33.2°, I 34
(1 0 1), 2θ = 17.8°, I 34
(2 2 4), 2θ = 57.7°, I 30
(0 0 2), 2θ = 16.4°, I 24



Starting from a cell relaxed with PBE, the powder diffraction line list of CaTb3Nd2 was calculated for Cu Kα (λ = 1.5418 Å).

abc: 6.7667 6.7667 10.8580
angles: 90.00 90.00 120.00
Space group P-3m1 (No. 164)
Unique sites:
1 Ca 0.3333 0.6667 0.4365 (multiplicity 2)
2 Tb 0.1697 0.3393 0.7591 (multiplicity 6)
3 Nd 0.0000 0.0000 0.0000 (multiplicity 1)
4 Nd 0.0000 0.0000 0.5000 (multiplicity 1)
5 Nd 0.3333 0.6667 0.0753 (multiplicity 2)

Peak list (10 most intense, 10° ≤ 2θ ≤ 90°, most intense first)
(0 2 1), 2θ = 31.6°, I 100
(1 1 2), 2θ = 31.1°, I 77
(1 0 3), 2θ = 29.0°, I 48
(2 0 2), 2θ = 34.8°, I 39
(2 2 0), 2θ = 54.2°, I 30
(0 2 5), 2θ = 52.4°, I 27
(0 3 2), 2θ = 49.6°, I 21
(2 1 3), 2θ = 48.2°, I 21
(0 1 4), 2θ = 36.5°, I 20
(0 0 4), 2θ = 33.0°, I 20